Diffraction record for FePdF5. The X-ray powder pattern is computed, not measured: it uses the GGA+U geometry in Alexandria and Cu Kα, 1.54184 Å.
Kinematic intensities with the Lorentz-polarization factor, no thermal factor.

Peak list (8 most intense, 2θ from 5° to 70°, low angle first)
hkl 0 1 1, 22.70 deg, I = 87.7; hkl 1 1 0, 26.87 deg, I = 100.0; hkl 0 1 -1, 27.43 deg, I = 54.5; hkl 0 0 2, 35.05 deg, I = 28.5; hkl 0 2 2, 46.36 deg, I = 22.1; hkl 2 1 1, 47.11 deg, I = 23.5; hkl 1 2 -1, 48.15 deg, I = 24.6; hkl 2 0 0, 52.91 deg, I = 23.3

Atomic structure:
a = 3.8581 Å, b = 5.3415 Å, c = 5.5510 Å
α = 73.37°, β = 69.75°, γ = 68.85°
Space group P-1 (No. 2)
Unique sites:
1 Fe 0.0000 0.0000 0.0000 x1
2 Pd 0.5000 0.5000 0.5000 x1
3 F 0.0353 0.2648 0.6636 x2
4 F 0.2435 0.6960 0.8169 x2
5 F 0.5000 0.0000 0.0000 x1